No. 1
HoTiOsPd: computed powder X-ray diffraction pattern (λ = 1.5418 Å (Cu Kα)), based on DFT lattice parameters and positions (GGA-PBE).

Peak list (6 most intense, 2θ from 10° to 90°, sorted by position)
- 2θ 23.5, I 179
- 2θ 38.8, I 1000
- 2θ 45.9, I 98
- 2θ 56.0, I 171
- 2θ 70.3, I 344
- 2θ 83.3, I 110

Atomic structure:
```
data_HoTiOsPd
_chemical_formula_sum 'Ho1 Ti1 Os1 Pd1'
_cell_length_a 4.6410
_cell_length_b 4.6410
_cell_length_c 4.6410
_cell_angle_alpha 60.00
_cell_angle_beta 60.00
_cell_angle_gamma 60.00
_space_group_name_H-M_alt 'P 1'
_space_group_IT_number 1
_space_group_name_Hall 'P 1'
loop_
_atom_site_label
_atom_site_fract_x
_atom_site_fract_y
_atom_site_fract_z
_atom_site_occupancy
Ho1 0.0000 0.0000 0.0000 1
Ti1 0.5000 0.5000 0.5000 1
Os1 0.7500 0.7500 0.7500 1
Pd1 0.2500 0.2500 0.2500 1
```


No. 2
Cs3NaCo2Cl8: computed powder X-ray diffraction pattern (λ = 1.5418 Å (Cu Kα)), based on DFT lattice parameters and positions (GGA-PBE).

Peak list (6 most intense, 2θ from 10° to 90°, sorted by position)
- 2θ 23.0, I 558
- 2θ 23.9, I 1000
- 2θ 27.7, I 355
- 2θ 29.2, I 388
- 2θ 33.4, I 660
- 2θ 48.9, I 309

Atomic structure:
```
data_Cs3NaCo2Cl8
_chemical_formula_sum 'Cs3 Na1 Co2 Cl8'
_cell_length_a 7.4533
_cell_length_b 7.4533
_cell_length_c 9.6645
_cell_angle_alpha 90.00
_cell_angle_beta 90.00
_cell_angle_gamma 120.00
_space_group_name_H-M_alt 'P 1'
_space_group_IT_number 1
_space_group_name_Hall 'P 1'
loop_
_atom_site_label
_atom_site_fract_x
_atom_site_fract_y
_atom_site_fract_z
_atom_site_occupancy
Cs1 0.0000 0.0000 0.0000 1
Cs2 0.3333 0.6667 0.6488 1
Cs3 0.6667 0.3333 0.3512 1
Na1 0.0000 0.0000 0.5000 1
Co1 0.3333 0.6667 0.2292 1
Co2 0.6667 0.3333 0.7708 1
Cl1 0.1702 0.3404 0.3183 1
Cl2 0.1702 0.8298 0.3183 1
Cl3 0.3333 0.6667 0.0003 1
Cl4 0.3404 0.1702 0.6817 1
Cl5 0.6596 0.8298 0.3183 1
Cl6 0.6667 0.3333 0.9997 1
Cl7 0.8298 0.1702 0.6817 1
Cl8 0.8298 0.6596 0.6817 1
```


No. 3
La4CuO8: computed powder X-ray diffraction pattern (λ = 1.5418 Å (Cu Kα)), based on DFT lattice parameters and positions (GGA-PBE).

Peak list (6 most intense, 2θ from 10° to 90°, sorted by position)
- 2θ 24.7, I 613
- 2θ 31.5, I 1000
- 2θ 33.8, I 753
- 2θ 44.1, I 531
- 2θ 48.6, I 383
- 2θ 59.1, I 347

Atomic structure:
```
data_La4CuO8
_chemical_formula_sum 'La4 Cu1 O8'
_cell_length_a 7.0324
_cell_length_b 7.0324
_cell_length_c 5.2968
_cell_angle_alpha 90.00
_cell_angle_beta 90.00
_cell_angle_gamma 135.76
_space_group_name_H-M_alt 'P 1'
_space_group_IT_number 1
_space_group_name_Hall 'P 1'
loop_
_atom_site_label
_atom_site_fract_x
_atom_site_fract_y
_atom_site_fract_z
_atom_site_occupancy
La1 0.1342 0.8658 0.0000 1
La2 0.3640 0.6360 0.5000 1
La3 0.6360 0.3640 0.5000 1
La4 0.8658 0.1342 0.0000 1
Cu1 0.5000 0.5000 0.0000 1
O1 0.1865 0.8135 0.5000 1
O2 0.2535 0.2535 0.2426 1
O3 0.2535 0.2535 0.7574 1
O4 0.3207 0.6793 0.0000 1
O5 0.6793 0.3207 0.0000 1
O6 0.7465 0.7465 0.2426 1
O7 0.7465 0.7465 0.7574 1
O8 0.8135 0.1865 0.5000 1
```